No. 1
This entry pairs a crystal structure of CsTlBr2 with its simulated powder XRD pattern. Radiation: λ = 1.5418 Å (Cu Kα). Structure: the GGA-PBE geometry in Alexandria.
Peak positions follow from Bragg's law for the DFT cell and can differ from measured ones.

Crystal structure
```
data_CsTlBr2
_chemical_formula_sum 'Cs3 Tl3 Br6'
_symmetry_space_group_name_H-M 'P 31 2 1'
_symmetry_Int_Tables_number 152
_cell_length_a 8.8585
_cell_length_b 8.8585
_cell_length_c 9.9910
_cell_angle_alpha 90.00
_cell_angle_beta 90.00
_cell_angle_gamma 120.00
loop_
_symmetry_equiv_pos_as_xyz
'x,y,z'
'-y,x-y,z+1/3'
'-x+y,-x,z+2/3'
'y,x,-z'
'x-y,-y,-z+2/3'
'-x,-x+y,-z+1/3'
loop_
_atom_site_label
_atom_site_fract_x
_atom_site_fract_y
_atom_site_fract_z
_atom_site_occupancy
Cs1 0.0000 0.6420 0.1667 1
Tl1 0.0000 0.6208 0.6667 1
Br1 0.0419 0.4011 0.8945 1
```

Largest 12 diffraction maxima, in order of falling intensity, 10° ≤ 2θ ≤ 80°:
hkl, d/Å, Rel. int.
1 0 2, 4.186, 100
1 1 0, 4.429, 86
0 2 2, 3.042, 82
2 1 2, 2.508, 73
3 0 0, 2.557, 42
0 1 4, 2.375, 35
0 1 1, 6.085, 22
3 2 2, 1.660, 22
1 2 4, 1.892, 21
2 0 0, 3.836, 20
1 0 0, 7.672, 19
1 1 6, 1.559, 17

=====

No. 2
This entry pairs a crystal structure of Cs4Tl3Br10 with its simulated powder XRD pattern. Radiation: λ = 1.5418 Å (Cu Kα). Structure: the GGA-PBE geometry in Alexandria.
Peak positions follow from Bragg's law for the DFT cell and can differ from measured ones.

Crystal structure
```
data_Cs4Tl3Br10
_chemical_formula_sum 'Cs8 Tl6 Br20'
_symmetry_space_group_name_H-M 'I 4/m m m'
_symmetry_Int_Tables_number 139
_symmetry_space_group_name_Hall '-I 4 2'
_cell_length_a 5.8448
_cell_length_b 5.8448
_cell_length_c 41.7573
_cell_angle_alpha 90.00
_cell_angle_beta 90.00
_cell_angle_gamma 90.00
loop_
_atom_site_label
_atom_site_fract_x
_atom_site_fract_y
_atom_site_fract_z
_atom_site_occupancy
Cs1 0.0000 0.0000 0.0683 1
Cs2 0.0000 0.0000 0.2001 1
Tl1 0.0000 0.0000 0.3571 1
Tl2 0.0000 0.0000 0.5000 1
Br1 0.0000 0.0000 0.2868 1
Br2 0.0000 0.0000 0.4305 1
Br3 0.0000 0.5000 0.0000 1
Br4 0.0000 0.5000 0.1394 1
```

Largest 12 diffraction maxima, in order of falling intensity, 10° ≤ 2θ ≤ 80°:
hkl, d/Å, Rel. int.
2 0 0, 2.922, 100
1 0 7, 4.175, 70
2 0 14, 2.087, 63
1 1 0, 4.133, 57
0 0 14, 2.983, 42
2 2 0, 2.066, 37
2 2 14, 1.699, 36
2 1 7, 2.394, 33
1 1 8, 3.240, 28
1 0 1, 5.788, 28
0 0 6, 6.960, 23
1 0 13, 2.815, 20

=====

No. 3
This entry pairs a crystal structure of Cs2UTlBr8 with its simulated powder XRD pattern. Radiation: λ = 1.5418 Å (Cu Kα). Structure: the GGA-PBE geometry in Alexandria.
Peak positions follow from Bragg's law for the DFT cell and can differ from measured ones.

Crystal structure
```
data_Cs2UTlBr8
_chemical_formula_sum 'Cs2 U1 Tl1 Br8'
_symmetry_space_group_name_H-M 'P -1'
_symmetry_Int_Tables_number 2
_cell_length_a 7.1282
_cell_length_b 8.2483
_cell_length_c 10.3795
_cell_angle_alpha 89.97
_cell_angle_beta 89.97
_cell_angle_gamma 88.73
loop_
_symmetry_equiv_pos_as_xyz
'x,y,z'
'-x,-y,-z'
loop_
_atom_site_label
_atom_site_fract_x
_atom_site_fract_y
_atom_site_fract_z
_atom_site_occupancy
Cs1 0.0012 0.9997 0.2564 1
U1 0.5000 0.5000 0.0000 1
Tl1 0.5000 0.5000 0.5000 1
Br1 0.2279 0.7969 0.5006 1
Br2 0.2671 0.3961 0.1863 1
Br3 0.2682 0.3950 0.8136 1
Br4 0.3203 0.7939 0.9993 1
```

Largest 12 diffraction maxima, in order of falling intensity, 10° ≤ 2θ ≤ 80°:
hkl, d/Å, Rel. int.
1 1 0, 5.452, 100
1 0 2, 4.195, 84
2 1 2, 2.783, 65
1 -1 0, 5.334, 53
0 3 2, 2.429, 43
1 1 2, 3.759, 43
-2 1 2, 2.751, 42
0 1 0, 8.246, 42
1 4 2, 1.860, 40
1 1 4, 2.343, 35
1 -3 0, 2.546, 34
1 2 2, 2.960, 33

=====

No. 4
This entry pairs a crystal structure of Cs2UTlBr6 with its simulated powder XRD pattern. Radiation: λ = 1.5418 Å (Cu Kα). Structure: the GGA-PBE geometry in Alexandria.
Peak positions follow from Bragg's law for the DFT cell and can differ from measured ones.

Crystal structure
```
data_Cs2UTlBr6
_chemical_formula_sum 'Cs4 U2 Tl2 Br12'
_symmetry_space_group_name_H-M 'P m m n'
_symmetry_Int_Tables_number 59
_cell_length_a 8.3400
_cell_length_b 12.1647
_cell_length_c 9.1305
_cell_angle_alpha 90.00
_cell_angle_beta 90.00
_cell_angle_gamma 90.00
loop_
_symmetry_equiv_pos_as_xyz
'x,y,z'
'-x,-y,-z'
'-x+1/2,-y+1/2,z'
'x+1/2,y+1/2,-z'
'x+1/2,-y,-z'
'-x+1/2,y,z'
'-x,y+1/2,-z'
'x,-y+1/2,z'
loop_
_atom_site_label
_atom_site_fract_x
_atom_site_fract_y
_atom_site_fract_z
_atom_site_occupancy
Cs1 0.2500 0.0309 0.1962 1
U1 0.2500 0.7500 0.7855 1
Tl1 0.2500 0.2500 0.7087 1
Br1 0.0092 0.2500 0.4242 1
Br2 0.0104 0.7500 0.0183 1
Br3 0.2500 0.5116 0.7919 1
```

Largest 12 diffraction maxima, in order of falling intensity, 10° ≤ 2θ ≤ 80°:
hkl, d/Å, Rel. int.
1 2 1, 4.327, 100
2 0 2, 3.079, 92
2 4 2, 2.164, 60
0 4 0, 3.041, 58
1 0 1, 6.158, 51
0 2 3, 2.725, 35
4 0 0, 2.084, 30
0 2 0, 6.082, 29
2 1 2, 2.985, 29
2 0 3, 2.456, 29
2 0 0, 4.170, 28
0 0 2, 4.565, 27

=====

No. 5
This entry pairs a crystal structure of Cs2TlWBr6 with its simulated powder XRD pattern. Radiation: λ = 1.5418 Å (Cu Kα). Structure: the GGA-PBE geometry in Alexandria.
Peak positions follow from Bragg's law for the DFT cell and can differ from measured ones.

Crystal structure
```
data_Cs2TlWBr6
_chemical_formula_sum 'Cs12 Tl6 W6 Br36'
_symmetry_space_group_name_H-M 'R -3 m'
_symmetry_Int_Tables_number 166
_symmetry_space_group_name_Hall '-R 3 2"'
_cell_length_a 7.8848
_cell_length_b 7.8848
_cell_length_c 46.2779
_cell_angle_alpha 90.00
_cell_angle_beta 90.00
_cell_angle_gamma 120.00
loop_
_atom_site_label
_atom_site_fract_x
_atom_site_fract_y
_atom_site_fract_z
_atom_site_occupancy
Cs1 0.0000 0.0000 0.1357 1
Cs2 0.0000 0.0000 0.3054 1
Tl1 0.0000 0.0000 0.4152 1
W1 0.0000 0.0000 0.0000 1
W2 0.0000 0.0000 0.5000 1
Br1 0.0185 0.5093 0.1340 1
Br2 0.0236 0.5118 0.6997 1
```

Largest 12 diffraction maxima, in order of falling intensity, 10° ≤ 2θ ≤ 80°:
hkl, d/Å, Rel. int.
0 2 7, 3.034, 100
0 1 2, 6.549, 72
1 1 0, 3.942, 71
2 2 0, 1.971, 56
2 0 11, 2.651, 56
0 0 6, 7.713, 33
1 0 7, 4.750, 30
1 1 12, 2.757, 29
2 0 14, 2.375, 27
2 0 5, 3.203, 25
0 2 10, 2.747, 24
1 0 1, 6.755, 23

=====

No. 6
This entry pairs a crystal structure of CsTm2Br7 with its simulated powder XRD pattern. Radiation: λ = 1.5418 Å (Cu Kα). Structure: the GGA-PBE geometry in Alexandria.
Peak positions follow from Bragg's law for the DFT cell and can differ from measured ones.

Crystal structure
```
data_CsTm2Br7
_chemical_formula_sum 'Cs2 Tm4 Br14'
_symmetry_space_group_name_H-M 'C m m m'
_symmetry_Int_Tables_number 65
_symmetry_space_group_name_Hall '-C 2 2'
_cell_length_a 8.9117
_cell_length_b 14.5490
_cell_length_c 5.5565
_cell_angle_alpha 90.00
_cell_angle_beta 90.00
_cell_angle_gamma 90.00
loop_
_atom_site_label
_atom_site_fract_x
_atom_site_fract_y
_atom_site_fract_z
_atom_site_occupancy
Cs1 0.0000 0.0000 0.0000 1
Tm1 0.0000 0.3032 0.5000 1
Br1 0.0000 0.2987 0.0000 1
Br2 0.0000 0.5000 0.5000 1
Br3 0.1884 0.1416 0.5000 1
```

Largest 12 diffraction maxima, in order of falling intensity, 10° ≤ 2θ ≤ 80°:
hkl, d/Å, Rel. int.
0 0 1, 5.556, 100
0 0 2, 2.778, 95
3 3 0, 2.533, 72
2 0 0, 4.456, 66
1 3 0, 4.260, 64
3 1 1, 2.578, 61
3 3 2, 1.872, 58
2 4 0, 2.818, 57
0 2 0, 7.274, 57
1 1 1, 4.485, 44
1 5 1, 2.476, 44
2 4 2, 1.978, 41